No. 1
BiAsSe: simulated X-ray diffraction stick pattern (Cu Kα, 1.54184 Å), based on a crystal structure in Alexandria, relaxed with PBE.
No peak broadening, texture or thermal motion is included.

Cell and atoms:
a b c (Å): 5.8198 5.7225 10.3732
angles (deg): 90.00 90.32 90.00
Element x y z (fractional)
Bi 0.2104 0.0000 0.2891
Bi 0.2896 0.5000 0.7109
Bi 0.7104 0.5000 0.2891
Bi 0.7896 0.0000 0.7109
As 0.2118 0.0000 0.0158
As 0.2882 0.5000 0.9842
As 0.7118 0.5000 0.0158
As 0.7882 0.0000 0.9842
Se 0.2386 0.5000 0.3505
Se 0.2614 0.0000 0.6495
Se 0.7386 0.0000 0.3505
Se 0.7614 0.5000 0.6495

Principal peaks in the range 15° ≤ 2θ ≤ 90°, sorted by position:
d (Å)  Rel. int.
3.798  100
3.458  91
2.910  75
2.861  88
2.204  53
2.040  55

***

No. 2
MgMnIrRu: simulated X-ray diffraction stick pattern (Cu Kα, 1.54184 Å), based on a crystal structure in Alexandria, relaxed with PBE.
No peak broadening, texture or thermal motion is included.

Cell and atoms:
a b c (Å): 6.0776 6.0776 6.0776
angles (deg): 90.00 90.00 90.00
Element x y z (fractional)
Mg 0.0000 0.0000 0.0000
Mg 0.0000 0.5000 0.5000
Mg 0.5000 0.0000 0.5000
Mg 0.5000 0.5000 0.0000
Mn 0.0000 0.0000 0.5000
Mn 0.0000 0.5000 0.0000
Mn 0.5000 0.0000 0.0000
Mn 0.5000 0.5000 0.5000
Ir 0.2500 0.2500 0.7500
Ir 0.2500 0.7500 0.2500
Ir 0.7500 0.2500 0.2500
Ir 0.7500 0.7500 0.7500
Ru 0.2500 0.2500 0.2500
Ru 0.2500 0.7500 0.7500
Ru 0.7500 0.2500 0.7500
Ru 0.7500 0.7500 0.2500

Principal peaks in the range 15° ≤ 2θ ≤ 90°, sorted by position:
d (Å)  Rel. int.
3.509  14
3.039  41
2.149  100
1.519  16
1.359  15
1.241  33

***

No. 3
Sm2ThOs9: simulated X-ray diffraction stick pattern (Cu Kα, 1.54184 Å), based on a crystal structure in Alexandria, relaxed with PBE.
No peak broadening, texture or thermal motion is included.

Cell and atoms:
a b c (Å): 5.2906 5.4127 9.3173
angles (deg): 90.07 106.38 119.25
Element x y z (fractional)
Sm 0.2157 0.3556 0.0776
Sm 0.7843 0.6444 0.9224
Th 0.5000 0.5000 0.5000
Os 0.1430 0.5508 0.7324
Os 0.1738 0.0912 0.7538
Os 0.2026 0.8947 0.5107
Os 0.3319 0.9113 0.2458
Os 0.5000 0.0000 0.0000
Os 0.6681 0.0887 0.7542
Os 0.7974 0.1053 0.4893
Os 0.8262 0.9088 0.2462
Os 0.8570 0.4492 0.2676

Principal peaks in the range 15° ≤ 2θ ≤ 90°, sorted by position:
d (Å)  Rel. int.
2.694  52
2.315  68
2.298  100
2.271  49
2.204  54
2.111  52

***

No. 4
La4RuAu2: simulated X-ray diffraction stick pattern (Cu Kα, 1.54184 Å), based on a crystal structure in Alexandria, relaxed with PBE.
No peak broadening, texture or thermal motion is included.

Cell and atoms:
a b c (Å): 12.9411 4.1086 15.2954
angles (deg): 90.00 90.00 90.00
Element x y z (fractional)
La 0.0346 0.2500 0.1918
La 0.0567 0.2500 0.6076
La 0.1944 0.7500 0.0364
La 0.2400 0.2500 0.7943
La 0.2600 0.7500 0.2943
La 0.3056 0.2500 0.5364
La 0.4433 0.7500 0.1076
La 0.4654 0.7500 0.6918
La 0.5346 0.2500 0.3082
La 0.5567 0.2500 0.8924
La 0.6944 0.7500 0.4636
La 0.7400 0.2500 0.7057
La 0.7600 0.7500 0.2057
La 0.8056 0.2500 0.9636
La 0.9433 0.7500 0.3924
La 0.9654 0.7500 0.8082
Ru 0.2283 0.7500 0.6634
Ru 0.2717 0.2500 0.1634
Ru 0.7283 0.7500 0.8366
Ru 0.7717 0.2500 0.3366
Au 0.0516 0.2500 0.9397
Au 0.1182 0.2500 0.4006
Au 0.3818 0.7500 0.9006
Au 0.4484 0.7500 0.4397
Au 0.5516 0.2500 0.5603
Au 0.6182 0.2500 0.0994
Au 0.8818 0.7500 0.5994
Au 0.9484 0.7500 0.0603

Principal peaks in the range 15° ≤ 2θ ≤ 90°, sorted by position:
d (Å)  Rel. int.
3.468  55
2.865  85
2.734  100
2.569  69
2.542  70
2.054  72

***

No. 5
SrRh2Br: simulated X-ray diffraction stick pattern (Cu Kα, 1.54184 Å), based on a crystal structure in Alexandria, relaxed with PBE.
No peak broadening, texture or thermal motion is included.

Cell and atoms:
a b c (Å): 3.5039 3.5039 7.7297
angles (deg): 90.00 90.00 90.00
Element x y z (fractional)
Sr 0.0000 0.0000 0.0000
Rh 0.0000 0.0000 0.6107
Rh 0.5000 0.5000 0.7101
Br 0.5000 0.5000 0.2349

Principal peaks in the range 15° ≤ 2θ ≤ 90°, sorted by position:
d (Å)  Rel. int.
3.865  30
2.596  100
2.478  80
2.086  22
1.752  27
1.452  32

***

No. 6
SrHgGe: simulated X-ray diffraction stick pattern (Cu Kα, 1.54184 Å), based on a crystal structure in Alexandria, relaxed with PBE.
No peak broadening, texture or thermal motion is included.

Cell and atoms:
a b c (Å): 4.5037 4.6408 8.0760
angles (deg): 90.00 90.00 90.00
Element x y z (fractional)
Sr 0.0000 0.0000 0.0000
Sr 0.0000 0.5000 0.5000
Hg 0.5000 0.0000 0.3246
Hg 0.5000 0.0000 0.6754
Ge 0.5000 0.5000 0.1549
Ge 0.5000 0.5000 0.8451

Principal peaks in the range 15° ≤ 2θ ≤ 90°, sorted by position:
d (Å)  Rel. int.
4.504  30
3.003  100
2.329  42
2.320  21
2.252  20
1.619  27

***

No. 7
NpCuH6Ru: simulated X-ray diffraction stick pattern (Cu Kα, 1.54184 Å), based on a crystal structure in Alexandria, relaxed with PBE.
No peak broadening, texture or thermal motion is included.

Cell and atoms:
a b c (Å): 4.5448 4.5448 4.2580
angles (deg): 90.00 90.00 120.00
Element x y z (fractional)
Np 0.0000 0.0000 0.0000
Cu 0.3333 0.6667 0.5000
H 0.5050 0.0101 0.2248
H 0.5050 0.0101 0.7752
H 0.5050 0.4950 0.2248
H 0.5050 0.4950 0.7752
H 0.9899 0.4950 0.2248
H 0.9899 0.4950 0.7752
Ru 0.6667 0.3333 0.5000

Principal peaks in the range 15° ≤ 2θ ≤ 90°, sorted by position:
d (Å)  Rel. int.
3.936  21
2.890  100
2.272  41
1.786  25
1.554  25
1.404  23

***

No. 8
ThH6Pd5: simulated X-ray diffraction stick pattern (Cu Kα, 1.54184 Å), based on a crystal structure in Alexandria, relaxed with PBE.
No peak broadening, texture or thermal motion is included.

Cell and atoms:
a b c (Å): 5.2104 5.2130 5.3491
angles (deg): 60.87 87.79 85.39
Element x y z (fractional)
Th 0.0000 0.0000 0.0000
H 0.1791 0.4194 0.9970
H 0.3295 0.8589 0.6848
H 0.3328 0.5440 0.3104
H 0.6672 0.4560 0.6896
H 0.6705 0.1411 0.3152
H 0.8209 0.5806 0.0030
Pd 0.0017 0.3255 0.3475
Pd 0.4985 0.8259 0.3496
Pd 0.5000 0.5000 0.0000
Pd 0.5015 0.1741 0.6504
Pd 0.9983 0.6745 0.6525

Principal peaks in the range 15° ≤ 2θ ≤ 90°, sorted by position:
d (Å)  Rel. int.
2.597  100
2.417  80
2.337  77
1.481  36
1.426  31
1.336  24

***

No. 9
Ca7Sb2Pb2: simulated X-ray diffraction stick pattern (Cu Kα, 1.54184 Å), based on a crystal structure in Alexandria, relaxed with PBE.
No peak broadening, texture or thermal motion is included.

Cell and atoms:
a b c (Å): 7.4139 7.4139 7.5047
angles (deg): 90.00 90.00 98.80
Element x y z (fractional)
Ca 0.0000 0.0000 0.0000
Ca 0.0000 0.5000 0.2657
Ca 0.0000 0.5000 0.7343
Ca 0.5000 0.0000 0.2657
Ca 0.5000 0.0000 0.7343
Ca 0.5000 0.5000 0.2618
Ca 0.5000 0.5000 0.7382
Sb 0.2781 0.7219 0.0000
Sb 0.7219 0.2781 0.0000
Pb 0.2085 0.2085 0.5000
Pb 0.7915 0.7915 0.5000

Principal peaks in the range 15° ≤ 2θ ≤ 90°, sorted by position:
d (Å)  Rel. int.
4.503  100
4.058  99
2.815  37
2.621  95
2.313  38
1.561  24

***

No. 10
Ba6Na2P2Ru2O17: simulated X-ray diffraction stick pattern (Cu Kα, 1.54184 Å), based on a crystal structure in Alexandria, relaxed with PBE.
No peak broadening, texture or thermal motion is included.

Cell and atoms:
a b c (Å): 5.8760 5.8760 29.6460
angles (deg): 90.00 90.00 120.00
Element x y z (fractional)
Ba 0.0000 0.0000 0.0000
Ba 0.0000 0.0000 0.2500
Ba 0.0000 0.0000 0.5000
Ba 0.0000 0.0000 0.7500
Ba 0.3333 0.6667 0.0896
Ba 0.3333 0.6667 0.4104
Ba 0.3333 0.6667 0.6782
Ba 0.3333 0.6667 0.8218
Ba 0.6667 0.3333 0.1782
Ba 0.6667 0.3333 0.3218
Ba 0.6667 0.3333 0.5896
Ba 0.6667 0.3333 0.9104
Na 0.0000 0.0000 0.1216
Na 0.0000 0.0000 0.3784
Na 0.0000 0.0000 0.6216
Na 0.0000 0.0000 0.8784
P 0.3333 0.6667 0.5525
P 0.3333 0.6667 0.9475
P 0.6667 0.3333 0.0525
P 0.6667 0.3333 0.4475
Ru 0.3333 0.6667 0.2029
Ru 0.3333 0.6667 0.2971
Ru 0.6667 0.3333 0.7029
Ru 0.6667 0.3333 0.7971
O 0.0265 0.5133 0.2500
O 0.1760 0.3520 0.1683
O 0.1760 0.3520 0.3317
O 0.1760 0.8240 0.1683
O 0.1760 0.8240 0.3317
O 0.1889 0.3778 0.5712
O 0.1889 0.3778 0.9288
O 0.1889 0.8111 0.5712
O 0.1889 0.8111 0.9288
O 0.3333 0.6667 0.9995
O 0.3333 0.6667 0.5005
O 0.3520 0.1760 0.6683
O 0.3520 0.1760 0.8317
O 0.3778 0.1889 0.0712
O 0.3778 0.1889 0.4288
O 0.4867 0.5133 0.2500
O 0.4867 0.9735 0.2500
O 0.5133 0.0265 0.7500
O 0.5133 0.4867 0.7500
O 0.6222 0.8111 0.5712
O 0.6222 0.8111 0.9288
O 0.6480 0.8240 0.1683
O 0.6480 0.8240 0.3317
O 0.6667 0.3333 0.0005
O 0.6667 0.3333 0.4995
O 0.8111 0.1889 0.0712
O 0.8111 0.1889 0.4288
O 0.8111 0.6222 0.0712
O 0.8111 0.6222 0.4288
O 0.8240 0.1760 0.6683
O 0.8240 0.1760 0.8317
O 0.8240 0.6480 0.6683
O 0.8240 0.6480 0.8317
O 0.9735 0.4867 0.7500

Principal peaks in the range 15° ≤ 2θ ≤ 90°, sorted by position:
d (Å)  Rel. int.
4.195  24
3.255  24
2.996  50
2.938  100
2.098  28
1.696  20

***

No. 11
BaAlICl4: simulated X-ray diffraction stick pattern (Cu Kα, 1.54184 Å), based on a crystal structure in Alexandria, relaxed with PBE.
No peak broadening, texture or thermal motion is included.

Cell and atoms:
a b c (Å): 8.0793 8.0793 8.8018
angles (deg): 100.69 100.69 75.79
Element x y z (fractional)
Ba 0.2038 0.2038 0.1208
Ba 0.7962 0.7962 0.8792
Al 0.3653 0.3653 0.7394
Al 0.6347 0.6347 0.2606
I 0.0304 0.0304 0.7692
I 0.9696 0.9696 0.2308
Cl 0.1627 0.5039 0.8804
Cl 0.2571 0.2571 0.5137
Cl 0.4699 0.4699 0.2773
Cl 0.4961 0.8373 0.1196
Cl 0.5039 0.1627 0.8804
Cl 0.5301 0.5301 0.7227
Cl 0.7429 0.7429 0.4863
Cl 0.8373 0.4961 0.1196

Principal peaks in the range 15° ≤ 2θ ≤ 90°, sorted by position:
d (Å)  Rel. int.
4.962  100
3.805  25
3.532  23
3.214  28
3.190  45
2.066  23

***

No. 12
K12Rb7In: simulated X-ray diffraction stick pattern (Cu Kα, 1.54184 Å), based on a crystal structure in Alexandria, relaxed with PBE.
No peak broadening, texture or thermal motion is included.

Cell and atoms:
a b c (Å): 14.9718 14.9718 14.9718
angles (deg): 116.67 116.67 116.67
Element x y z (fractional)
K 0.0000 0.4082 0.5918
K 0.0000 0.5918 0.4082
K 0.0569 0.0569 0.4156
K 0.0569 0.4156 0.0569
K 0.4082 0.0000 0.5918
K 0.4082 0.5918 0.0000
K 0.4156 0.0569 0.0569
K 0.5844 0.9431 0.9431
K 0.5918 0.0000 0.4082
K 0.5918 0.4082 0.0000
K 0.9431 0.5844 0.9431
K 0.9431 0.9431 0.5844
Rb 0.0000 0.0000 0.0000
Rb 0.1610 0.3957 0.3957
Rb 0.3957 0.1610 0.3957
Rb 0.3957 0.3957 0.1610
Rb 0.6043 0.6043 0.8390
Rb 0.6043 0.8390 0.6043
Rb 0.8390 0.6043 0.6043
In 0.5000 0.5000 0.5000

Principal peaks in the range 15° ≤ 2θ ≤ 90°, sorted by position:
d (Å)  Rel. int.
4.248  29
3.893  100
3.577  33
3.534  35
3.435  49
3.023  39

***

> What is the formula in the first record?

BiAsSe